Record 1
Diffraction record for Tm4MgGe4. The X-ray powder pattern is simulated, not measured: it uses a PBE-relaxed structure and a wavelength of 1.5418 Å.
Intensities are scaled so that the largest is 100.

Unit cell a=7.105 b=14.498 c=7.649 alpha=90.00 beta=90.00 gamma=90.00
Element x y z (fractional)
Tm: 0.008 0.093 0.182
Tm: 0.008 0.407 0.182
Tm: 0.167 0.126 0.677
Tm: 0.167 0.374 0.677
Tm: 0.333 0.626 0.177
Tm: 0.333 0.874 0.177
Tm: 0.492 0.593 0.682
Tm: 0.492 0.907 0.682
Tm: 0.508 0.093 0.318
Tm: 0.508 0.407 0.318
Tm: 0.667 0.126 0.823
Tm: 0.667 0.374 0.823
Tm: 0.833 0.626 0.323
Tm: 0.833 0.874 0.323
Tm: 0.992 0.593 0.818
Tm: 0.992 0.907 0.818
Mg: 0.163 0.750 0.518
Mg: 0.337 0.250 0.018
Mg: 0.663 0.750 0.982
Mg: 0.837 0.250 0.482
Ge: 0.027 0.750 0.090
Ge: 0.174 0.536 0.465
Ge: 0.174 0.964 0.465
Ge: 0.208 0.250 0.360
Ge: 0.292 0.750 0.860
Ge: 0.326 0.036 0.965
Ge: 0.326 0.464 0.965
Ge: 0.473 0.250 0.590
Ge: 0.527 0.750 0.410
Ge: 0.674 0.536 0.035
Ge: 0.674 0.964 0.035
Ge: 0.708 0.250 0.140
Ge: 0.792 0.750 0.640
Ge: 0.826 0.036 0.535
Ge: 0.826 0.464 0.535
Ge: 0.973 0.250 0.910

Peak list (10 most intense, 2θ from 5° to 70°, by intensity)
hkl 2 3 1, 2θ 33.43, I 100; hkl 1 3 2, 2θ 32.40, I 86; hkl 0 4 2, 2θ 34.08, I 44; hkl 3 0 1, 2θ 39.85, I 37; hkl 1 4 2, 2θ 36.42, I 34; hkl 3 4 3, 2θ 59.02, I 27; hkl 1 1 3, 2θ 38.00, I 26; hkl 2 4 1, 2θ 37.34, I 25; hkl 2 1 1, 2θ 28.38, I 22; hkl 0 4 0, 2θ 24.56, I 19



Record 2
Diffraction record for Mg2GeW. The X-ray powder pattern is simulated, not measured: it uses a PBE-relaxed structure and a wavelength of 1.5418 Å.
Intensities are scaled so that the largest is 100.

Unit cell a=7.601 b=7.601 c=5.188 alpha=90.00 beta=90.00 gamma=90.00
Element x y z (fractional)
Mg: 0.228 0.250 0.125
Mg: 0.250 0.728 0.375
Mg: 0.250 0.772 0.875
Mg: 0.272 0.250 0.625
Mg: 0.728 0.750 0.625
Mg: 0.750 0.228 0.875
Mg: 0.750 0.272 0.375
Mg: 0.772 0.750 0.125
Ge: 0.000 0.000 0.000
Ge: 0.000 0.500 0.250
Ge: 0.500 0.000 0.750
Ge: 0.500 0.500 0.500
W: 0.000 0.000 0.500
W: 0.000 0.500 0.750
W: 0.500 0.000 0.250
W: 0.500 0.500 0.000

Peak list (10 most intense, 2θ from 5° to 70°, by intensity)
hkl 2 0 0, 2θ 23.41, I 100; hkl 2 2 0, 2θ 33.34, I 91; hkl 1 1 2, 2θ 38.54, I 90; hkl 3 1 2, 2θ 51.86, I 76; hkl 4 0 0, 2θ 47.87, I 33; hkl 1 0 1, 2θ 20.73, I 31; hkl 2 1 1, 2θ 31.46, I 28; hkl 4 2 0, 2θ 53.95, I 22; hkl 3 3 2, 2θ 63.06, I 21; hkl 3 0 1, 2θ 39.59, I 9



Record 3
Diffraction record for Mn3Ge5. The X-ray powder pattern is simulated, not measured: it uses a PBE-relaxed structure and a wavelength of 1.5418 Å.
Intensities are scaled so that the largest is 100.

Unit cell a=5.695 b=5.695 c=13.816 alpha=90.00 beta=90.00 gamma=90.00
Element x y z (fractional)
Mn: 0.000 0.000 0.000
Mn: 0.000 0.000 0.327
Mn: 0.000 0.000 0.673
Mn: 0.000 0.500 0.250
Mn: 0.000 0.500 0.587
Mn: 0.000 0.500 0.913
Mn: 0.500 0.000 0.087
Mn: 0.500 0.000 0.413
Mn: 0.500 0.000 0.750
Mn: 0.500 0.500 0.173
Mn: 0.500 0.500 0.500
Mn: 0.500 0.500 0.827
Ge: 0.157 0.267 0.450
Ge: 0.160 0.805 0.151
Ge: 0.171 0.671 0.750
Ge: 0.195 0.160 0.849
Ge: 0.233 0.343 0.050
Ge: 0.267 0.843 0.550
Ge: 0.305 0.660 0.349
Ge: 0.329 0.171 0.250
Ge: 0.340 0.305 0.651
Ge: 0.343 0.767 0.950
Ge: 0.657 0.233 0.950
Ge: 0.660 0.695 0.651
Ge: 0.671 0.829 0.250
Ge: 0.695 0.340 0.349
Ge: 0.733 0.157 0.550
Ge: 0.767 0.657 0.050
Ge: 0.805 0.840 0.849
Ge: 0.829 0.329 0.750
Ge: 0.840 0.195 0.151
Ge: 0.843 0.733 0.450

Peak list (10 most intense, 2θ from 5° to 70°, by intensity)
hkl 1 1 5, 2θ 39.55, I 100; hkl 2 1 2, 2θ 37.64, I 86; hkl 2 1 3, 2θ 40.47, I 86; hkl 3 0 3, 2θ 52.11, I 56; hkl 2 2 0, 2θ 45.02, I 32; hkl 1 1 6, 2θ 45.37, I 31; hkl 2 1 8, 2θ 65.28, I 17; hkl 2 2 1, 2θ 45.52, I 13; hkl 4 1 2, 2θ 69.38, I 12; hkl 1 0 7, 2θ 48.84, I 10